Simulated powder X-ray diffraction pattern
Compound: Li13Bi2
Radiation: Cu Ka
Structure: a crystal structure in Alexandria, relaxed with GGA-PBE
Lines closer than 0.1° are merged.

The 10 most intense peaks (15 to 90 degrees two-theta), most intense first:
- 15.3°, I 100
- 21.7°, I 85
- 34.6°, I 49
- 38.1°, I 42
- 26.7°, I 34
- 47.1°, I 23
- 30.9°, I 18
- 49.8°, I 15
- 46.4°, I 15
- 40.5°, I 14

Cell and atoms:
Unit cell a=8.194 b=8.194 c=8.194 alpha=59.92 beta=59.92 gamma=59.92
Element x y z (fractional)
Li (0.000, 0.000, 0.000)
Li (0.012, 0.012, 0.648)
Li (0.012, 0.648, 0.012)
Li (0.224, 0.224, 0.604)
Li (0.224, 0.604, 0.224)
Li (0.352, 0.988, 0.988)
Li (0.396, 0.776, 0.776)
Li (0.604, 0.224, 0.224)
Li (0.648, 0.012, 0.012)
Li (0.776, 0.396, 0.776)
Li (0.776, 0.776, 0.396)
Li (0.988, 0.352, 0.988)
Li (0.988, 0.988, 0.352)
Bi (0.234, 0.234, 0.234)
Bi (0.766, 0.766, 0.766)

Simulated powder X-ray diffraction pattern
Compound: BaLi3Pt2
Radiation: Cu Ka
Structure: a crystal structure in Alexandria, relaxed with GGA-PBE
Lines closer than 0.1° are merged.

The 10 most intense peaks (15 to 90 degrees two-theta), most intense first:
- 27.8°, I 100
- 31.0°, I 36
- 41.3°, I 30
- 26.7°, I 26
- 32.1°, I 25
- 23.6°, I 22
- 42.1°, I 21
- 35.1°, I 15
- 37.1°, I 15
- 35.2°, I 15

Cell and atoms:
Unit cell a=8.245 b=8.245 c=7.912 alpha=113.93 beta=113.93 gamma=30.19
Element x y z (fractional)
Ba (0.148, 0.148, 0.060)
Ba (0.852, 0.852, 0.940)
Li (0.043, 0.043, 0.374)
Li (0.314, 0.314, 0.541)
Li (0.411, 0.411, 0.349)
Li (0.589, 0.589, 0.651)
Li (0.686, 0.686, 0.459)
Li (0.957, 0.957, 0.626)
Pt (0.189, 0.189, 0.681)
Pt (0.479, 0.479, 0.818)
Pt (0.521, 0.521, 0.182)
Pt (0.811, 0.811, 0.319)

Simulated powder X-ray diffraction pattern
Compound: CuC2N2Cl4
Radiation: Cu Ka
Structure: a crystal structure in Alexandria, relaxed with GGA-PBE
Lines closer than 0.1° are merged.

The 10 most intense peaks (15 to 90 degrees two-theta), most intense first:
- 28.7°, I 100
- 15.0°, I 93
- 19.8°, I 79
- 24.8°, I 74
- 27.8°, I 73
- 19.2°, I 33
- 43.9°, I 21
- 24.5°, I 15
- 58.8°, I 14
- 26.2°, I 13

Cell and atoms:
Unit cell a=7.172 b=10.794 c=7.039 alpha=90.00 beta=92.12 gamma=90.00
Element x y z (fractional)
Cu (0.000, 0.000, 0.000)
Cu (0.000, 0.500, 0.500)
C (0.445, 0.055, 0.746)
C (0.445, 0.445, 0.246)
C (0.555, 0.555, 0.754)
C (0.555, 0.945, 0.254)
N (0.377, 0.543, 0.255)
N (0.377, 0.957, 0.755)
N (0.623, 0.043, 0.245)
N (0.623, 0.457, 0.745)
Cl (0.045, 0.189, 0.005)
Cl (0.045, 0.311, 0.505)
Cl (0.464, 0.692, 0.764)
Cl (0.464, 0.808, 0.264)
Cl (0.536, 0.192, 0.736)
Cl (0.536, 0.308, 0.236)
Cl (0.955, 0.689, 0.495)
Cl (0.955, 0.811, 0.995)

Simulated powder X-ray diffraction pattern
Compound: ErPuFe4
Radiation: Cu Ka
Structure: a crystal structure in Alexandria, relaxed with GGA-PBE
Lines closer than 0.1° are merged.

The 10 most intense peaks (15 to 90 degrees two-theta), most intense first:
- 41.6°, I 100
- 35.3°, I 77
- 21.4°, I 31
- 67.6°, I 31
- 63.3°, I 29
- 74.6°, I 21
- 85.3°, I 13
- 89.2°, I 11
- 43.6°, I 11
- 55.7°, I 9

Cell and atoms:
Unit cell a=5.089 b=5.089 c=5.089 alpha=60.00 beta=60.00 gamma=60.00
Element x y z (fractional)
Er (0.000, 0.000, 0.000)
Pu (0.250, 0.250, 0.250)
Fe (0.126, 0.625, 0.625)
Fe (0.625, 0.126, 0.625)
Fe (0.625, 0.625, 0.126)
Fe (0.625, 0.625, 0.625)

Simulated powder X-ray diffraction pattern
Compound: MgZnCu2
Radiation: Cu Ka
Structure: a crystal structure in Alexandria, relaxed with GGA-PBE
Lines closer than 0.1° are merged.

The 10 most intense peaks (15 to 90 degrees two-theta), most intense first:
- 40.8°, I 100
- 48.6°, I 29
- 85.4°, I 20
- 68.5°, I 19
- 45.2°, I 18
- 80.5°, I 12
- 26.2°, I 11
- 88.4°, I 9
- 71.1°, I 9
- 22.2°, I 5

Cell and atoms:
Unit cell a=3.750 b=3.750 c=8.019 alpha=90.00 beta=90.00 gamma=90.00
Element x y z (fractional)
Mg (0.000, 0.000, 0.000)
Mg (0.500, 0.500, 0.500)
Zn (0.000, 0.500, 0.750)
Zn (0.500, 0.000, 0.250)
Cu (0.000, 0.000, 0.500)
Cu (0.000, 0.500, 0.250)
Cu (0.500, 0.000, 0.750)
Cu (0.500, 0.500, 0.000)

Simulated powder X-ray diffraction pattern
Compound: La2Pr3Pb3N2
Radiation: Cu Ka
Structure: a crystal structure in Alexandria, relaxed with GGA-PBE
Lines closer than 0.1° are merged.

The 10 most intense peaks (15 to 90 degrees two-theta), most intense first:
- 27.9°, I 100
- 37.6°, I 99
- 47.5°, I 95
- 26.4°, I 87
- 33.8°, I 83
- 27.3°, I 76
- 29.9°, I 71
- 38.7°, I 56
- 62.1°, I 43
- 54.3°, I 34

Cell and atoms:
Unit cell a=13.247 b=13.247 c=13.247 alpha=159.21 beta=159.21 gamma=29.57
Element x y z (fractional)
La (0.250, 0.750, 0.500)
La (0.750, 0.250, 0.500)
Pr (0.000, 0.000, 0.000)
Pr (0.371, 0.371, 0.000)
Pr (0.629, 0.629, 0.000)
Pb (0.131, 0.131, 0.000)
Pb (0.500, 0.500, 0.000)
Pb (0.869, 0.869, 0.000)
N (0.281, 0.281, 0.000)
N (0.719, 0.719, 0.000)

Simulated powder X-ray diffraction pattern
Compound: Nd16Sm7Er6
Radiation: Cu Ka
Structure: a crystal structure in Alexandria, relaxed with GGA-PBE
Lines closer than 0.1° are merged.

The 10 most intense peaks (15 to 90 degrees two-theta), most intense first:
- 31.5°, I 100
- 56.1°, I 28
- 45.2°, I 15
- 28.9°, I 9
- 74.8°, I 8
- 65.8°, I 8
- 27.2°, I 6
- 33.0°, I 5
- 24.8°, I 5
- 43.3°, I 5

Cell and atoms:
Unit cell a=11.358 b=11.358 c=11.358 alpha=60.00 beta=60.00 gamma=60.00
Element x y z (fractional)
Nd (0.050, 0.650, 0.650)
Nd (0.125, 0.125, 0.125)
Nd (0.125, 0.125, 0.624)
Nd (0.125, 0.624, 0.125)
Nd (0.350, 0.350, 0.350)
Nd (0.350, 0.350, 0.950)
Nd (0.350, 0.950, 0.350)
Nd (0.376, 0.875, 0.875)
Nd (0.624, 0.125, 0.125)
Nd (0.650, 0.050, 0.650)
Nd (0.650, 0.650, 0.050)
Nd (0.650, 0.650, 0.650)
Nd (0.875, 0.376, 0.875)
Nd (0.875, 0.875, 0.376)
Nd (0.875, 0.875, 0.875)
Nd (0.950, 0.350, 0.350)
Sm (0.000, 0.000, 0.000)
Sm (0.000, 0.000, 0.500)
Sm (0.000, 0.500, 0.000)
Sm (0.000, 0.500, 0.500)
Sm (0.500, 0.000, 0.000)
Sm (0.500, 0.000, 0.500)
Sm (0.500, 0.500, 0.000)
Er (0.264, 0.264, 0.736)
Er (0.264, 0.736, 0.264)
Er (0.264, 0.736, 0.736)
Er (0.736, 0.264, 0.264)
Er (0.736, 0.264, 0.736)
Er (0.736, 0.736, 0.264)

Simulated powder X-ray diffraction pattern
Compound: Sm3Co7Cu2
Radiation: Cu Ka
Structure: a crystal structure in Alexandria, relaxed with GGA-PBE
Lines closer than 0.1° are merged.

The 10 most intense peaks (15 to 90 degrees two-theta), most intense first:
- 42.0°, I 100
- 35.9°, I 55
- 32.3°, I 47
- 35.2°, I 39
- 41.8°, I 37
- 68.7°, I 22
- 76.1°, I 21
- 64.5°, I 17
- 45.6°, I 15
- 44.8°, I 15

Cell and atoms:
Unit cell a=8.876 b=8.876 c=8.876 alpha=32.76 beta=32.76 gamma=32.76
Element x y z (fractional)
Sm (0.000, 0.000, 0.000)
Sm (0.139, 0.139, 0.139)
Sm (0.861, 0.861, 0.861)
Co (0.083, 0.581, 0.581)
Co (0.419, 0.419, 0.917)
Co (0.419, 0.917, 0.419)
Co (0.500, 0.500, 0.500)
Co (0.581, 0.083, 0.581)
Co (0.581, 0.581, 0.083)
Co (0.917, 0.419, 0.419)
Cu (0.333, 0.333, 0.333)
Cu (0.667, 0.667, 0.667)

Simulated powder X-ray diffraction pattern
Compound: TlAgSb
Radiation: Cu Ka
Structure: a crystal structure in Alexandria, relaxed with GGA-PBE
Lines closer than 0.1° are merged.

The 10 most intense peaks (15 to 90 degrees two-theta), most intense first:
- 31.0°, I 100
- 35.0°, I 85
- 36.4°, I 65
- 56.8°, I 36
- 42.0°, I 26
- 47.2°, I 24
- 67.0°, I 22
- 22.0°, I 21
- 30.6°, I 20
- 59.6°, I 18

Cell and atoms:
Unit cell a=3.193 b=4.298 c=11.693 alpha=90.00 beta=90.00 gamma=90.00
Element x y z (fractional)
Tl (0.000, 0.000, 0.000)
Tl (0.500, 0.500, 0.500)
Ag (0.000, 0.000, 0.689)
Ag (0.500, 0.500, 0.189)
Sb (0.000, 0.000, 0.298)
Sb (0.500, 0.500, 0.798)

Simulated powder X-ray diffraction pattern
Compound: Zn3GeAs4
Radiation: Cu Ka
Structure: a crystal structure in Alexandria, relaxed with GGA-PBE
Lines closer than 0.1° are merged.

The 10 most intense peaks (15 to 90 degrees two-theta), most intense first:
- 48.1°, I 100
- 26.0°, I 100
- 45.7°, I 84
- 26.2°, I 80
- 29.2°, I 79
- 48.0°, I 51
- 25.8°, I 49
- 53.4°, I 43
- 46.0°, I 41
- 29.0°, I 40

Cell and atoms:
Unit cell a=7.884 b=6.895 c=6.809 alpha=90.00 beta=90.00 gamma=90.00
Element x y z (fractional)
Zn (0.000, 0.163, 0.000)
Zn (0.248, 0.665, 0.997)
Zn (0.252, 0.335, 0.497)
Zn (0.500, 0.837, 0.500)
Zn (0.748, 0.335, 0.497)
Zn (0.752, 0.665, 0.997)
Ge (0.000, 0.835, 0.506)
Ge (0.500, 0.165, 0.006)
As (0.000, 0.168, 0.640)
As (0.000, 0.833, 0.142)
As (0.249, 0.333, 0.137)
As (0.251, 0.667, 0.637)
As (0.500, 0.167, 0.642)
As (0.500, 0.832, 0.140)
As (0.749, 0.667, 0.637)
As (0.751, 0.333, 0.137)

Simulated powder X-ray diffraction pattern
Compound: Er4Ni2C5
Radiation: Cu Ka
Structure: a crystal structure in Alexandria, relaxed with GGA-PBE
Lines closer than 0.1° are merged.

The 10 most intense peaks (15 to 90 degrees two-theta), most intense first:
- 34.2°, I 100
- 28.8°, I 76
- 35.8°, I 71
- 35.0°, I 58
- 33.7°, I 37
- 53.4°, I 35
- 58.7°, I 30
- 50.9°, I 26
- 38.4°, I 22
- 59.5°, I 21

Cell and atoms:
Unit cell a=3.589 b=11.539 c=3.674 alpha=90.00 beta=90.00 gamma=90.00
Element x y z (fractional)
Er (0.000, 0.000, 0.000)
Er (0.000, 0.297, 0.706)
Er (0.000, 0.703, 0.706)
Er (0.500, 0.500, 0.210)
Ni (0.500, 0.115, 0.511)
Ni (0.500, 0.885, 0.511)
C (0.000, 0.500, 0.714)
C (0.500, 0.168, 0.012)
C (0.500, 0.271, 0.209)
C (0.500, 0.729, 0.209)
C (0.500, 0.832, 0.012)

Simulated powder X-ray diffraction pattern
Compound: KIn3Ir
Radiation: Cu Ka
Structure: a crystal structure in Alexandria, relaxed with GGA-PBE
Lines closer than 0.1° are merged.

The 10 most intense peaks (15 to 90 degrees two-theta), most intense first:
- 38.1°, I 100
- 38.4°, I 50
- 28.2°, I 46
- 28.6°, I 45
- 49.0°, I 44
- 17.2°, I 36
- 45.1°, I 26
- 34.7°, I 23
- 60.6°, I 20
- 23.9°, I 20

Cell and atoms:
Unit cell a=7.200 b=7.200 c=7.200 alpha=62.14 beta=62.14 gamma=62.14
Element x y z (fractional)
K (0.096, 0.096, 0.096)
K (0.904, 0.904, 0.904)
In (0.131, 0.571, 0.571)
In (0.429, 0.429, 0.869)
In (0.429, 0.869, 0.429)
In (0.571, 0.131, 0.571)
In (0.571, 0.571, 0.131)
In (0.869, 0.429, 0.429)
Ir (0.308, 0.308, 0.308)
Ir (0.692, 0.692, 0.692)